Structure and theoretical X-ray diffraction stick pattern of NaInSn (DFT lattice parameters and positions (GGA-PBE); Cu Kα, 1.54184 Å).
Neutral-atom scattering factors, no anomalous dispersion.

Principal peaks in the range 2θ from 10° to 90°, by angle:
19.30°, intensity 51; 27.00°, intensity 39; 33.41°, intensity 62; 33.76°, intensity 100; 43.75°, intensity 65; 48.23°, intensity 22; 60.17°, intensity 22; 60.39°, intensity 18; 66.72°, intensity 27; 67.35°, intensity 18

```
data_NaInSn
_chemical_formula_sum 'Na2 In2 Sn2'
_cell_length_a 5.3098
_cell_length_b 5.3098
_cell_length_c 6.6039
_cell_angle_alpha 90.00
_cell_angle_beta 90.00
_cell_angle_gamma 120.00
_symmetry_space_group_name_H-M 'P 6/m m m'
_symmetry_Int_Tables_number 191
_symmetry_space_group_name_Hall '-P 6 2'
loop_
_atom_site_label
_atom_site_type_symbol
_atom_site_fract_x
_atom_site_fract_y
_atom_site_fract_z
_atom_site_occupancy
Na1 Na 0.0000 0.0000 0.2502 1
In1 In 0.3333 0.6667 0.0000 1
Sn1 Sn 0.3333 0.6667 0.5000 1
```

Structure and theoretical X-ray diffraction stick pattern of Hf2NpAs4 (DFT lattice parameters and positions (GGA-PBE); Cu Kα, 1.54184 Å).
Neutral-atom scattering factors, no anomalous dispersion.

Principal peaks in the range 2θ from 10° to 90°, by angle:
25.12°, intensity 100; 27.86°, intensity 22; 31.19°, intensity 23; 32.34°, intensity 79; 34.57°, intensity 64; 42.76°, intensity 56; 45.40°, intensity 25; 47.07°, intensity 28; 48.48°, intensity 25; 54.09°, intensity 21

```
data_Hf2NpAs4
_chemical_formula_sum 'Hf8 Np4 As16'
_cell_length_a 3.861
_cell_length_b 12.522
_cell_length_c 12.902
_cell_angle_alpha 90.00
_cell_angle_beta 90.00
_cell_angle_gamma 90.00
_symmetry_space_group_name_H-M 'C m c m'
_symmetry_Int_Tables_number 63
_symmetry_space_group_name_Hall '-C 2c 2'
loop_
_atom_site_label
_atom_site_type_symbol
_atom_site_fract_x
_atom_site_fract_y
_atom_site_fract_z
_atom_site_occupancy
Hf1 Hf 0.000 0.135 0.059 1
Np1 Np 0.000 0.389 0.250 1
As1 As 0.000 0.056 0.250 1
As2 As 0.000 0.232 0.629 1
As3 As 0.000 0.500 0.000 1
```

Structure and theoretical X-ray diffraction stick pattern of Pr3Zn2In (DFT lattice parameters and positions (GGA-PBE); Cu Kα, 1.54184 Å).
Neutral-atom scattering factors, no anomalous dispersion.

Principal peaks in the range 2θ from 10° to 90°, by angle:
23.93°, intensity 7; 33.25°, intensity 100; 34.09°, intensity 49; 46.45°, intensity 10; 48.98°, intensity 18; 58.87°, intensity 17; 60.49°, intensity 35; 69.81°, intensity 9; 81.44°, intensity 7; 81.91°, intensity 8

```
data_Pr3Zn2In
_chemical_formula_sum 'Pr3 Zn2 In1'
_cell_length_a 3.719
_cell_length_b 3.719
_cell_length_c 11.727
_cell_angle_alpha 90.00
_cell_angle_beta 90.00
_cell_angle_gamma 90.00
_symmetry_space_group_name_H-M 'P 4/m m m'
_symmetry_Int_Tables_number 123
_symmetry_space_group_name_Hall '-P 4 2'
loop_
_atom_site_label
_atom_site_type_symbol
_atom_site_fract_x
_atom_site_fract_y
_atom_site_fract_z
_atom_site_occupancy
Pr1 Pr 0.000 0.000 0.000 1
Pr2 Pr 0.000 0.000 0.316 1
Zn1 Zn 0.500 0.500 0.155 1
In1 In 0.500 0.500 0.500 1
```

Structure and theoretical X-ray diffraction stick pattern of KPb4Se5 (DFT lattice parameters and positions (GGA-PBE); Cu Kα, 1.54184 Å).
Neutral-atom scattering factors, no anomalous dispersion.

Principal peaks in the range 2θ from 10° to 90°, by angle:
24.89°, intensity 12; 28.67°, intensity 100; 40.66°, intensity 14; 40.84°, intensity 26; 41.17°, intensity 25; 41.29°, intensity 13; 51.06°, intensity 14; 59.37°, intensity 13; 67.02°, intensity 12; 67.50°, intensity 12

```
data_KPb4Se5
_chemical_formula_sum 'K2 Pb8 Se10'
_cell_length_a 14.634
_cell_length_b 4.373
_cell_length_c 10.896
_cell_angle_alpha 90.00
_cell_angle_beta 120.03
_cell_angle_gamma 90.00
_symmetry_space_group_name_H-M 'C 1 2/m 1'
_symmetry_Int_Tables_number 12
loop_
_symmetry_equiv_pos_as_xyz
'x,y,z'
'-x,-y,-z'
'-x,y,-z'
'x,-y,z'
'x+1/2,y+1/2,z'
'-x+1/2,-y+1/2,-z'
'-x+1/2,y+1/2,-z'
'x+1/2,-y+1/2,z'
loop_
_atom_site_label
_atom_site_type_symbol
_atom_site_fract_x
_atom_site_fract_y
_atom_site_fract_z
_atom_site_occupancy
K1 K 0.000 0.000 0.000 1
Pb1 Pb 0.100 0.500 0.400 1
Pb2 Pb 0.203 0.000 0.803 1
Se1 Se 0.000 0.000 0.500 1
Se2 Se 0.110 0.500 0.891 1
Se3 Se 0.203 0.000 0.315 1
```

Structure and theoretical X-ray diffraction stick pattern of Pr6In5Sn (DFT lattice parameters and positions (GGA-PBE); Cu Kα, 1.54184 Å).
Neutral-atom scattering factors, no anomalous dispersion.

Principal peaks in the range 2θ from 10° to 90°, by angle:
32.23°, intensity 26; 32.33°, intensity 25; 32.54°, intensity 100; 46.30°, intensity 19; 47.05°, intensity 9; 57.66°, intensity 19; 57.79°, intensity 19; 58.18°, intensity 14; 68.15°, intensity 11; 76.96°, intensity 8

```
data_Pr6In5Sn
_chemical_formula_sum 'Pr12 In10 Sn2'
_cell_length_a 9.497
_cell_length_b 16.667
_cell_length_c 5.538
_cell_angle_alpha 90.00
_cell_angle_beta 125.57
_cell_angle_gamma 90.00
_symmetry_space_group_name_H-M 'C 1 2/m 1'
_symmetry_Int_Tables_number 12
loop_
_symmetry_equiv_pos_as_xyz
'x,y,z'
'-x,-y,-z'
'-x,y,-z'
'x,-y,z'
'x+1/2,y+1/2,z'
'-x+1/2,-y+1/2,-z'
'-x+1/2,y+1/2,-z'
'x+1/2,-y+1/2,z'
loop_
_atom_site_label
_atom_site_type_symbol
_atom_site_fract_x
_atom_site_fract_y
_atom_site_fract_z
_atom_site_occupancy
Pr1 Pr 0.247 0.000 0.247 1
Pr2 Pr 0.248 0.165 0.748 1
In1 In 0.000 0.172 0.000 1
In2 In 0.000 0.334 0.500 1
In3 In 0.000 0.500 0.000 1
Sn1 Sn 0.000 0.000 0.500 1
```

Structure and theoretical X-ray diffraction stick pattern of Zn6Ni5Pt (DFT lattice parameters and positions (GGA-PBE); Cu Kα, 1.54184 Å).
Neutral-atom scattering factors, no anomalous dispersion.

Principal peaks in the range 2θ from 10° to 90°, by angle:
27.70°, intensity 6; 42.61°, intensity 100; 46.82°, intensity 19; 46.99°, intensity 19; 54.74°, intensity 12; 68.50°, intensity 11; 74.84°, intensity 9; 74.96°, intensity 9; 83.99°, intensity 13; 84.24°, intensity 13

```
data_Zn6Ni5Pt
_chemical_formula_sum 'Zn12 Ni10 Pt2'
_cell_length_a 3.868
_cell_length_b 11.643
_cell_length_c 6.707
_cell_angle_alpha 90.00
_cell_angle_beta 90.00
_cell_angle_gamma 90.00
_symmetry_space_group_name_H-M 'C m m m'
_symmetry_Int_Tables_number 65
_symmetry_space_group_name_Hall '-C 2 2'
loop_
_atom_site_label
_atom_site_type_symbol
_atom_site_fract_x
_atom_site_fract_y
_atom_site_fract_z
_atom_site_occupancy
Zn1 Zn 0.000 0.000 0.238 1
Zn2 Zn 0.000 0.330 0.245 1
Ni1 Ni 0.000 0.167 0.000 1
Ni2 Ni 0.000 0.170 0.500 1
Ni3 Ni 0.000 0.500 0.000 1
Pt1 Pt 0.000 0.500 0.500 1
```

Structure and theoretical X-ray diffraction stick pattern of CoHg2Te (DFT lattice parameters and positions (GGA-PBE); Cu Kα, 1.54184 Å).
Neutral-atom scattering factors, no anomalous dispersion.

Principal peaks in the range 2θ from 10° to 90°, by angle:
10.37°, intensity 19; 29.16°, intensity 24; 31.47°, intensity 32; 32.15°, intensity 50; 32.26°, intensity 100; 33.94°, intensity 49; 40.60°, intensity 34; 51.31°, intensity 47; 61.50°, intensity 19; 61.89°, intensity 23

```
data_CoHg2Te
_chemical_formula_sum 'Co2 Hg4 Te2'
_cell_length_a 6.172
_cell_length_b 3.560
_cell_length_c 8.781
_cell_angle_alpha 90.00
_cell_angle_beta 103.79
_cell_angle_gamma 90.00
_symmetry_space_group_name_H-M 'C 1 m 1'
_symmetry_Int_Tables_number 8
loop_
_symmetry_equiv_pos_as_xyz
'x,y,z'
'x,-y,z'
'x+1/2,y+1/2,z'
'x+1/2,-y+1/2,z'
loop_
_atom_site_label
_atom_site_type_symbol
_atom_site_fract_x
_atom_site_fract_y
_atom_site_fract_z
_atom_site_occupancy
Co1 Co 0.000 0.000 0.000 1
Hg1 Hg 0.239 0.500 0.214 1
Hg2 Hg 0.498 0.000 0.498 1
Te1 Te 0.280 0.000 0.842 1
```

Structure and theoretical X-ray diffraction stick pattern of Rb3Ga2Se4 (DFT lattice parameters and positions (GGA-PBE); Cu Kα, 1.54184 Å).
Neutral-atom scattering factors, no anomalous dispersion.

Principal peaks in the range 2θ from 10° to 90°, by angle:
12.65°, intensity 64; 22.08°, intensity 88; 23.95°, intensity 59; 24.63°, intensity 63; 27.01°, intensity 81; 30.63°, intensity 43; 31.68°, intensity 100; 32.67°, intensity 84; 32.98°, intensity 80; 34.03°, intensity 59

```
data_Rb3Ga2Se4
_chemical_formula_sum 'Rb12 Ga8 Se16'
_cell_length_a 14.133
_cell_length_b 11.226
_cell_length_c 8.143
_cell_angle_alpha 90.00
_cell_angle_beta 97.96
_cell_angle_gamma 90.00
_symmetry_space_group_name_H-M 'C 1 2/c 1'
_symmetry_Int_Tables_number 15
loop_
_symmetry_equiv_pos_as_xyz
'x,y,z'
'-x,-y,-z'
'-x,y,-z+1/2'
'x,-y,z+1/2'
'x+1/2,y+1/2,z'
'-x+1/2,-y+1/2,-z'
'-x+1/2,y+1/2,-z+1/2'
'x+1/2,-y+1/2,z+1/2'
loop_
_atom_site_label
_atom_site_type_symbol
_atom_site_fract_x
_atom_site_fract_y
_atom_site_fract_z
_atom_site_occupancy
Rb1 Rb 0.000 0.106 0.250 1
Rb2 Rb 0.134 0.367 0.597 1
Ga1 Ga 0.208 0.117 0.934 1
Se1 Se 0.123 0.304 0.008 1
Se2 Se 0.180 0.054 0.620 1
```

Structure and theoretical X-ray diffraction stick pattern of TiAgTe2O8 (DFT lattice parameters and positions (GGA-PBE); Cu Kα, 1.54184 Å).
Neutral-atom scattering factors, no anomalous dispersion.

Principal peaks in the range 2θ from 10° to 90°, by angle:
18.41°, intensity 14; 25.59°, intensity 68; 26.71°, intensity 58; 32.99°, intensity 100; 37.33°, intensity 25; 50.02°, intensity 45; 51.29°, intensity 38; 52.59°, intensity 11; 64.59°, intensity 25; 87.95°, intensity 14

```
data_TiAgTe2O8
_chemical_formula_sum 'Ti2 Ag2 Te4 O16'
_cell_length_a 6.676
_cell_length_b 6.961
_cell_length_c 6.573
_cell_angle_alpha 90.00
_cell_angle_beta 90.00
_cell_angle_gamma 90.00
_symmetry_space_group_name_H-M 'C m m m'
_symmetry_Int_Tables_number 65
_symmetry_space_group_name_Hall '-C 2 2'
loop_
_atom_site_label
_atom_site_type_symbol
_atom_site_fract_x
_atom_site_fract_y
_atom_site_fract_z
_atom_site_occupancy
Ti1 Ti 0.000 0.000 0.000 1
Ag1 Ag 0.000 0.000 0.500 1
Te1 Te 0.000 0.500 0.246 1
O1 O 0.000 0.302 0.000 1
O2 O 0.000 0.321 0.500 1
O3 O 0.202 0.000 0.216 1
```

Structure and theoretical X-ray diffraction stick pattern of DyCd6Ag6 (DFT lattice parameters and positions (GGA-PBE); Cu Kα, 1.54184 Å).
Neutral-atom scattering factors, no anomalous dispersion.

Principal peaks in the range 2θ from 10° to 90°, by angle:
31.52°, intensity 31; 33.07°, intensity 23; 36.61°, intensity 100; 36.93°, intensity 22; 41.14°, intensity 52; 41.39°, intensity 16; 59.52°, intensity 15; 65.80°, intensity 21; 66.35°, intensity 19; 77.92°, intensity 14

```
data_DyCd6Ag6
_chemical_formula_sum 'Dy1 Cd6 Ag6'
_cell_length_a 5.6769
_cell_length_b 5.6769
_cell_length_c 9.7372
_cell_angle_alpha 90.00
_cell_angle_beta 90.00
_cell_angle_gamma 120.00
_symmetry_space_group_name_H-M 'P 6/m m m'
_symmetry_Int_Tables_number 191
_symmetry_space_group_name_Hall '-P 6 2'
loop_
_atom_site_label
_atom_site_type_symbol
_atom_site_fract_x
_atom_site_fract_y
_atom_site_fract_z
_atom_site_occupancy
Dy1 Dy 0.0000 0.0000 0.0000 1
Cd1 Cd 0.0000 0.0000 0.3468 1
Cd2 Cd 0.3333 0.6667 0.0000 1
Cd3 Cd 0.3333 0.6667 0.5000 1
Ag1 Ag 0.0000 0.5000 0.2453 1
```

Structure and theoretical X-ray diffraction stick pattern of Ca4Ru5 (DFT lattice parameters and positions (GGA-PBE); Cu Kα, 1.54184 Å).
Neutral-atom scattering factors, no anomalous dispersion.

Principal peaks in the range 2θ from 10° to 90°, by angle:
12.22°, intensity 16; 26.41°, intensity 28; 37.23°, intensity 100; 38.15°, intensity 88; 46.22°, intensity 7; 54.37°, intensity 30; 67.13°, intensity 16; 67.74°, intensity 30; 77.67°, intensity 21; 79.35°, intensity 10

```
data_Ca4Ru5
_chemical_formula_sum 'Ca8 Ru10'
_cell_length_a 8.3657
_cell_length_b 8.3657
_cell_length_c 5.7129
_cell_angle_alpha 90.00
_cell_angle_beta 90.00
_cell_angle_gamma 120.00
_symmetry_space_group_name_H-M 'P 63/m c m'
_symmetry_Int_Tables_number 193
_symmetry_space_group_name_Hall '-P 6c 2'
loop_
_atom_site_label
_atom_site_type_symbol
_atom_site_fract_x
_atom_site_fract_y
_atom_site_fract_z
_atom_site_occupancy
Ca1 Ca 0.0000 0.0000 0.0000 1
Ca2 Ca 0.0000 0.3548 0.2500 1
Ru1 Ru 0.0000 0.3345 0.7500 1
Ru2 Ru 0.3333 0.6667 0.0000 1
```

Structure and theoretical X-ray diffraction stick pattern of SiH9C3Cl (DFT lattice parameters and positions (GGA-PBE); Cu Kα, 1.54184 Å).
Neutral-atom scattering factors, no anomalous dispersion.

Principal peaks in the range 2θ from 10° to 90°, by angle:
12.66°, intensity 21; 13.41°, intensity 22; 16.87°, intensity 100; 17.44°, intensity 15; 21.50°, intensity 24; 22.31°, intensity 20; 25.48°, intensity 15; 25.74°, intensity 23; 27.01°, intensity 17; 29.06°, intensity 20

```
data_SiH9C3Cl
_chemical_formula_sum 'Si2 H18 C6 Cl2'
_cell_length_a 6.603
_cell_length_b 7.968
_cell_length_c 6.991
_cell_angle_alpha 90.00
_cell_angle_beta 90.84
_cell_angle_gamma 90.00
_symmetry_space_group_name_H-M 'P 1 21/m 1'
_symmetry_Int_Tables_number 11
loop_
_symmetry_equiv_pos_as_xyz
'x,y,z'
'-x,-y,-z'
'-x,y+1/2,-z'
'x,-y+1/2,z'
loop_
_atom_site_label
_atom_site_type_symbol
_atom_site_fract_x
_atom_site_fract_y
_atom_site_fract_z
_atom_site_occupancy
Si1 Si 0.184 0.250 0.316 1
H1 H 0.201 0.051 0.041 1
H2 H 0.212 0.558 0.264 1
H3 H 0.215 0.138 0.647 1
H4 H 0.429 0.051 0.180 1
H5 H 0.436 0.250 0.581 1
C1 C 0.263 0.055 0.188 1
C2 C 0.270 0.250 0.572 1
Cl1 Cl 0.137 0.750 0.683 1
```

Structure and theoretical X-ray diffraction stick pattern of CeScPH2 (DFT lattice parameters and positions (GGA-PBE); Cu Kα, 1.54184 Å).
Neutral-atom scattering factors, no anomalous dispersion.

Principal peaks in the range 2θ from 10° to 90°, by angle:
16.95°, intensity 58; 28.28°, intensity 100; 31.98°, intensity 70; 34.28°, intensity 20; 36.41°, intensity 35; 41.38°, intensity 29; 45.86°, intensity 26; 47.59°, intensity 32; 54.75°, intensity 31; 76.74°, intensity 20

```
data_CeScPH2
_chemical_formula_sum 'Ce1 Sc1 P1 H2'
_cell_length_a 3.957
_cell_length_b 3.957
_cell_length_c 5.231
_cell_angle_alpha 90.00
_cell_angle_beta 90.00
_cell_angle_gamma 90.00
_symmetry_space_group_name_H-M 'P 4 m m'
_symmetry_Int_Tables_number 99
loop_
_symmetry_equiv_pos_as_xyz
'x,y,z'
'-y,x,z'
'-x,-y,z'
'y,-x,z'
'-x,y,z'
'y,x,z'
'x,-y,z'
'-y,-x,z'
loop_
_atom_site_label
_atom_site_type_symbol
_atom_site_fract_x
_atom_site_fract_y
_atom_site_fract_z
_atom_site_occupancy
Ce1 Ce 0.000 0.000 0.000 1
Sc1 Sc 0.500 0.500 0.405 1
P1 P 0.500 0.500 0.890 1
H1 H 0.000 0.500 0.296 1
```